[1]
Structure and theoretical XRD peak list of CoOs2W (a crystal structure in Alexandria, relaxed with PBE; Cu Kα X-rays).
Lines closer than 0.1° are merged.

The 6 most intense peaks (2θ from 15° to 90°), low angle first:
hkl, Position (°2θ), I/Imax
0 2 1, 40.53, 100
2 2 0, 41.11, 96
2 0 1, 46.87, 66
0 4 0, 48.70, 30
2 4 1, 69.90, 40
2 2 2, 82.31, 26

Structure:
```
data_CoOs2W
_chemical_formula_sum 'Co2 Os4 W2'
_symmetry_space_group_name_H-M 'C m m m'
_symmetry_Int_Tables_number 65
_symmetry_space_group_name_Hall '-C 2 2'
_cell_length_a 5.4258
_cell_length_b 7.4794
_cell_length_c 2.7701
_cell_angle_alpha 90.00
_cell_angle_beta 90.00
_cell_angle_gamma 90.00
loop_
_atom_site_label
_atom_site_type_symbol
_atom_site_fract_x
_atom_site_fract_y
_atom_site_fract_z
Co1 Co 0.0000 0.0000 0.0000
Os1 Os 0.2500 0.2500 0.5000
W1 W 0.0000 0.5000 0.0000
```

***

[2]
Structure and theoretical XRD peak list of CsPuScS4 (a crystal structure in Alexandria, relaxed with PBE; Cu Kα X-rays).
Lines closer than 0.1° are merged.

The 6 most intense peaks (2θ from 15° to 90°), low angle first:
hkl, Position (°2θ), I/Imax
1 1 -1, 19.60, 100
1 1 1, 21.87, 97
0 1 2, 23.91, 50
0 2 0, 25.92, 76
2 1 -1, 28.93, 73
2 1 1, 32.10, 74

Structure:
```
data_CsPuScS4
_chemical_formula_sum 'Cs2 Pu2 Sc2 S8'
_symmetry_space_group_name_H-M 'P 1 21/m 1'
_symmetry_Int_Tables_number 11
_cell_length_a 7.0665
_cell_length_b 6.8738
_cell_length_c 9.0028
_cell_angle_alpha 90.00
_cell_angle_beta 100.47
_cell_angle_gamma 90.00
loop_
_symmetry_equiv_pos_as_xyz
'x,y,z'
'-x,-y,-z'
'-x,y+1/2,-z'
'x,-y+1/2,z'
loop_
_atom_site_label
_atom_site_type_symbol
_atom_site_fract_x
_atom_site_fract_y
_atom_site_fract_z
Cs1 Cs 0.1706 0.2500 0.0747
Pu1 Pu 0.1553 0.7500 0.4577
Sc1 Sc 0.3806 0.2500 0.6586
S1 S 0.1268 0.0047 0.6838
S2 S 0.2976 0.7500 0.1958
S3 S 0.4710 0.2500 0.4155
```

***

[3]
Structure and theoretical XRD peak list of Ca2PbO3 (a crystal structure in Alexandria, relaxed with PBE; Cu Kα X-rays).
Lines closer than 0.1° are merged.

The 6 most intense peaks (2θ from 15° to 90°), low angle first:
hkl, Position (°2θ), I/Imax
2 0 0, 16.64, 43
1 1 0, 19.61, 63
3 1 0, 30.88, 50
1 1 -2, 31.15, 48
0 2 0, 35.96, 100
2 2 2, 51.75, 45

Structure:
```
data_Ca2PbO3
_chemical_formula_sum 'Ca8 Pb4 O12'
_symmetry_space_group_name_H-M 'C 1 2/c 1'
_symmetry_Int_Tables_number 15
_cell_length_a 11.2170
_cell_length_b 5.0018
_cell_length_c 7.0133
_cell_angle_alpha 90.00
_cell_angle_beta 108.22
_cell_angle_gamma 90.00
loop_
_symmetry_equiv_pos_as_xyz
'x,y,z'
'-x,-y,-z'
'-x,y,-z+1/2'
'x,-y,z+1/2'
'x+1/2,y+1/2,z'
'-x+1/2,-y+1/2,-z'
'-x+1/2,y+1/2,-z+1/2'
'x+1/2,-y+1/2,z+1/2'
loop_
_atom_site_label
_atom_site_type_symbol
_atom_site_fract_x
_atom_site_fract_y
_atom_site_fract_z
Ca1 Ca 0.1675 0.0000 0.0837
Pb1 Pb 0.0000 0.4999 0.2500
O1 O 0.0000 0.0041 0.2500
O2 O 0.1845 0.4998 0.0923
```

***

[4]
Structure and theoretical XRD peak list of Li2LaPr2Ga2 (a crystal structure in Alexandria, relaxed with PBE; Cu Kα X-rays).
Lines closer than 0.1° are merged.

The 6 most intense peaks (2θ from 15° to 90°), low angle first:
hkl, Position (°2θ), I/Imax
1 0 1, 21.74, 100
1 0 7, 31.76, 70
0 1 8, 34.34, 94
1 1 0, 37.67, 81
2 0 8, 51.89, 29
1 2 8, 65.88, 28

Structure:
```
data_Li2LaPr2Ga2
_chemical_formula_sum 'Li6 La3 Pr6 Ga6'
_symmetry_space_group_name_H-M 'R -3 m'
_symmetry_Int_Tables_number 166
_symmetry_space_group_name_Hall '-R 3 2"'
_cell_length_a 4.7754
_cell_length_b 4.7754
_cell_length_c 26.9375
_cell_angle_alpha 90.00
_cell_angle_beta 90.00
_cell_angle_gamma 120.00
loop_
_atom_site_label
_atom_site_type_symbol
_atom_site_fract_x
_atom_site_fract_y
_atom_site_fract_z
Li1 Li 0.0000 0.0000 0.1016
La1 La 0.0000 0.0000 0.5000
Pr1 Pr 0.0000 0.0000 0.3729
Ga1 Ga 0.0000 0.0000 0.2390
```

***

[5]
Structure and theoretical XRD peak list of KLiW (a crystal structure in Alexandria, relaxed with PBE; Cu Kα X-rays).
Lines closer than 0.1° are merged.

The 6 most intense peaks (2θ from 15° to 90°), low angle first:
hkl, Position (°2θ), I/Imax
0 0 4, 20.49, 54
0 0 6, 30.94, 37
1 0 1, 32.92, 66
1 0 3, 36.11, 100
1 0 5, 41.87, 35
1 1 6, 57.01, 25

Structure:
```
data_KLiW
_chemical_formula_sum 'K2 Li2 W2'
_symmetry_space_group_name_H-M 'I 4 m m'
_symmetry_Int_Tables_number 107
_symmetry_space_group_name_Hall 'I 4 -2'
_cell_length_a 2.7552
_cell_length_b 2.7552
_cell_length_c 17.3414
_cell_angle_alpha 90.00
_cell_angle_beta 90.00
_cell_angle_gamma 90.00
loop_
_atom_site_label
_atom_site_type_symbol
_atom_site_fract_x
_atom_site_fract_y
_atom_site_fract_z
K1 K 0.0000 0.0000 0.0000
Li1 Li 0.0000 0.0000 0.7065
W1 W 0.0000 0.0000 0.3293
```

***

[6]
Structure and theoretical XRD peak list of Pa2Si3Pt5 (a crystal structure in Alexandria, relaxed with PBE; Cu Kα X-rays).
Lines closer than 0.1° are merged.

The 6 most intense peaks (2θ from 15° to 90°), low angle first:
hkl, Position (°2θ), I/Imax
3 1 0, 28.39, 41
2 4 0, 33.93, 83
3 2 1, 34.70, 100
2 0 2, 35.93, 87
1 5 0, 36.90, 46
0 4 2, 42.30, 100

Structure:
```
data_Pa2Si3Pt5
_chemical_formula_sum 'Pa8 Si12 Pt20'
_symmetry_space_group_name_H-M 'I b a m'
_symmetry_Int_Tables_number 72
_symmetry_space_group_name_Hall '-I 2 2c'
_cell_length_a 9.7397
_cell_length_b 12.5821
_cell_length_c 5.8236
_cell_angle_alpha 90.00
_cell_angle_beta 90.00
_cell_angle_gamma 90.00
loop_
_atom_site_label
_atom_site_type_symbol
_atom_site_fract_x
_atom_site_fract_y
_atom_site_fract_z
Pa1 Pa 0.2340 0.1345 0.0000
Si1 Si 0.0000 0.0000 0.2500
Si2 Si 0.1415 0.3868 0.0000
Pt1 Pt 0.0000 0.2781 0.2500
Pt2 Pt 0.0000 0.5000 0.2500
Pt3 Pt 0.1205 0.1218 0.5000
```

***

[7]
Structure and theoretical XRD peak list of CaAl4Si2O11 (a crystal structure in Alexandria, relaxed with PBE; Cu Kα X-rays).
Lines closer than 0.1° are merged.

The 6 most intense peaks (2θ from 15° to 90°), low angle first:
hkl, Position (°2θ), I/Imax
1 1 -4, 33.72, 72
2 0 -2, 35.61, 51
2 2 -3, 43.56, 53
0 4 3, 43.69, 100
0 4 6, 58.16, 84
2 6 0, 68.52, 85

Structure:
```
data_CaAl4Si2O11
_chemical_formula_sum 'Ca4 Al16 Si8 O44'
_symmetry_space_group_name_H-M 'C 1 c 1'
_symmetry_Int_Tables_number 9
_cell_length_a 5.4804
_cell_length_b 9.4823
_cell_length_c 12.8212
_cell_angle_alpha 90.00
_cell_angle_beta 90.24
_cell_angle_gamma 90.00
loop_
_symmetry_equiv_pos_as_xyz
'x,y,z'
'x,-y,z+1/2'
'x+1/2,y+1/2,z'
'x+1/2,-y+1/2,z+1/2'
loop_
_atom_site_label
_atom_site_type_symbol
_atom_site_fract_x
_atom_site_fract_y
_atom_site_fract_z
Ca1 Ca 0.0000 0.1660 0.0000
Al1 Al 0.0046 0.4971 0.0957
Al2 Al 0.2456 0.2491 0.7430
Al3 Al 0.4915 0.0031 0.3906
Al4 Al 0.4993 0.3326 0.9747
Si1 Si 0.2510 0.2516 0.2428
Si2 Si 0.4973 0.4980 0.2427
O1 O 0.0051 0.1648 0.3222
O2 O 0.0107 0.3228 0.1661
O3 O 0.2247 0.4220 0.9894
O4 O 0.2260 0.0810 0.8221
O5 O 0.2331 0.0883 0.1676
O6 O 0.2601 0.4129 0.3201
O7 O 0.2698 0.4178 0.6654
O8 O 0.2710 0.0777 0.4969
O9 O 0.4839 0.1771 0.3215
O10 O 0.4883 0.3364 0.1684
O11 O 0.4975 0.1504 0.9928
```

***

[8]
Structure and theoretical XRD peak list of Ba2Sn3Au6 (a crystal structure in Alexandria, relaxed with PBE; Cu Kα X-rays).
Lines closer than 0.1° are merged.

The 6 most intense peaks (2θ from 15° to 90°), low angle first:
hkl, Position (°2θ), I/Imax
1 1 1, 27.91, 100
0 0 2, 36.05, 40
3 0 0, 37.37, 39
2 1 1, 37.58, 39
3 0 1, 41.68, 34
4 1 1, 61.76, 35

Structure:
```
data_Ba2Sn3Au6
_chemical_formula_sum 'Ba2 Sn3 Au6'
_symmetry_space_group_name_H-M 'P -6 2 m'
_symmetry_Int_Tables_number 189
_symmetry_space_group_name_Hall 'P -6 -2'
_cell_length_a 8.3359
_cell_length_b 8.3359
_cell_length_c 4.9825
_cell_angle_alpha 90.00
_cell_angle_beta 90.00
_cell_angle_gamma 120.00
loop_
_atom_site_label
_atom_site_type_symbol
_atom_site_fract_x
_atom_site_fract_y
_atom_site_fract_z
Ba1 Ba 0.3333 0.6667 0.0000
Sn1 Sn 0.0000 0.6691 0.5000
Au1 Au 0.0000 0.3382 0.5000
Au2 Au 0.0000 0.8024 0.0000
```